# CeTm3S6
Computed powder diffractogram, Cu Kα (weighted mean of Kα1 and Kα2). Input: a crystal structure in the Materials Project, relaxed with PBE.
Lines closer than 0.1° are merged.

The 8 most intense peaks (2θ from 15° to 90°), low angle first:
2theta  d/Å  Rel. int.
23.74  3.747  77
24.21  3.677  100
26.40  3.376  69
27.53  3.240  44
27.76  3.214  50
31.12  2.874  69
34.33  2.612  50
42.45  2.129  76

Crystal structure
```
data_CeTm3S6
_chemical_formula_sum 'Ce2 Tm6 S12'
_space_group_name_H-M_alt 'P 1'
_space_group_IT_number 1
_space_group_name_Hall 'P 1'
_cell_length_a 11.031
_cell_length_b 3.955
_cell_length_c 11.244
_cell_angle_alpha 90.00
_cell_angle_beta 108.83
_cell_angle_gamma 90.00
loop_
_atom_site_label
_atom_site_type_symbol
_atom_site_fract_x
_atom_site_fract_y
_atom_site_fract_z
Ce1 Ce 0.050 0.250 0.195
Ce2 Ce 0.950 0.750 0.805
Tm1 Tm 0.160 0.250 0.586
Tm2 Tm 0.320 0.750 0.000
Tm3 Tm 0.443 0.250 0.334
Tm4 Tm 0.557 0.750 0.666
Tm5 Tm 0.680 0.250 0.000
Tm6 Tm 0.840 0.750 0.414
S1 S 0.081 0.750 0.406
S2 S 0.119 0.250 0.963
S3 S 0.197 0.750 0.750
S4 S 0.268 0.750 0.230
S5 S 0.393 0.250 0.557
S6 S 0.479 0.250 0.112
S7 S 0.521 0.750 0.888
S8 S 0.607 0.750 0.443
S9 S 0.732 0.250 0.770
S10 S 0.803 0.250 0.250
S11 S 0.881 0.750 0.037
S12 S 0.919 0.250 0.594
```

# ReN2
Computed powder diffractogram, Cu Kα (weighted mean of Kα1 and Kα2). Input: a crystal structure in the Materials Project, relaxed with PBE.
Lines closer than 0.1° are merged.

The 8 most intense peaks (2θ from 15° to 90°), low angle first:
2theta  d/Å  Rel. int.
22.60  3.935  69
35.65  2.518  67
42.63  2.121  100
59.64  1.550  37
64.05  1.454  17
68.85  1.364  21
80.01  1.199  16
83.02  1.163  13

Crystal structure
```
data_ReN2
_chemical_formula_sum 'Re1 N2'
_space_group_name_H-M_alt 'P 1'
_space_group_IT_number 1
_space_group_name_Hall 'P 1'
_cell_length_a 2.908
_cell_length_b 2.908
_cell_length_c 3.935
_cell_angle_alpha 90.00
_cell_angle_beta 90.00
_cell_angle_gamma 120.00
loop_
_atom_site_label
_atom_site_type_symbol
_atom_site_fract_x
_atom_site_fract_y
_atom_site_fract_z
Re1 Re 0.000 0.000 0.000
N1 N 0.333 0.667 0.328
N2 N 0.333 0.667 0.672
```

# KHgC2IN2
Computed powder diffractogram, Cu Kα (weighted mean of Kα1 and Kα2). Input: a crystal structure in the Materials Project, relaxed with PBE.
Lines closer than 0.1° are merged.

The 8 most intense peaks (2θ from 15° to 90°), low angle first:
2theta  d/Å  Rel. int.
20.99  4.232  14
21.67  4.101  25
27.22  3.276  19
27.37  3.258  100
31.49  2.841  41
33.82  2.650  14
37.61  2.391  24
60.09  1.540  16

Crystal structure
```
data_KHgC2IN2
_chemical_formula_sum 'K2 Hg2 C4 I2 N4'
_space_group_name_H-M_alt 'P 1'
_space_group_IT_number 1
_space_group_name_Hall 'P 1'
_cell_length_a 8.505
_cell_length_b 8.505
_cell_length_c 9.879
_cell_angle_alpha 90.00
_cell_angle_beta 90.00
_cell_angle_gamma 149.36
loop_
_atom_site_label
_atom_site_type_symbol
_atom_site_fract_x
_atom_site_fract_y
_atom_site_fract_z
K1 K 0.237 0.763 0.750
K2 K 0.763 0.237 0.250
Hg1 Hg 0.000 0.000 0.000
Hg2 Hg 0.000 0.000 0.500
C1 C 0.121 0.879 0.054
C2 C 0.121 0.879 0.446
C3 C 0.879 0.121 0.554
C4 C 0.879 0.121 0.946
I1 I 0.448 0.552 0.250
I2 I 0.552 0.448 0.750
N1 N 0.190 0.810 0.085
N2 N 0.190 0.810 0.415
N3 N 0.810 0.190 0.585
N4 N 0.810 0.190 0.915
```

# USbPd
Computed powder diffractogram, Cu Kα (weighted mean of Kα1 and Kα2). Input: a crystal structure in the Materials Project, relaxed with PBE.
Lines closer than 0.1° are merged.

The 8 most intense peaks (2θ from 15° to 90°), low angle first:
2theta  d/Å  Rel. int.
22.02  4.037  14
33.05  2.710  100
38.63  2.331  59
49.88  1.828  9
51.73  1.767  29
64.81  1.439  26
66.38  1.408  28
69.90  1.346  10

Crystal structure
```
data_USbPd
_chemical_formula_sum 'U2 Sb2 Pd2'
_space_group_name_H-M_alt 'P 1'
_space_group_IT_number 1
_space_group_name_Hall 'P 1'
_cell_length_a 4.662
_cell_length_b 4.662
_cell_length_c 7.313
_cell_angle_alpha 90.00
_cell_angle_beta 90.00
_cell_angle_gamma 120.00
loop_
_atom_site_label
_atom_site_type_symbol
_atom_site_fract_x
_atom_site_fract_y
_atom_site_fract_z
U1 U 0.000 0.000 0.000
U2 U 0.000 0.000 0.500
Sb1 Sb 0.333 0.667 0.250
Sb2 Sb 0.667 0.333 0.750
Pd1 Pd 0.333 0.667 0.750
Pd2 Pd 0.667 0.333 0.250
```

# Nb4P2S21
Computed powder diffractogram, Cu Kα (weighted mean of Kα1 and Kα2). Input: a crystal structure in the Materials Project, relaxed with PBE.
Lines closer than 0.1° are merged.

The 8 most intense peaks (2θ from 15° to 90°), low angle first:
2theta  d/Å  Rel. int.
15.17  5.842  100
17.61  5.036  29
22.80  3.900  20
30.63  2.918  14
35.68  2.516  18
38.54  2.336  17
39.16  2.301  14
48.18  1.889  15

Crystal structure
```
data_Nb4P2S21
_chemical_formula_sum 'Nb8 P4 S42'
_space_group_name_H-M_alt 'P 1'
_space_group_IT_number 1
_space_group_name_Hall 'P 1'
_cell_length_a 14.093
_cell_length_b 14.093
_cell_length_c 13.194
_cell_angle_alpha 101.94
_cell_angle_beta 101.94
_cell_angle_gamma 32.13
loop_
_atom_site_label
_atom_site_type_symbol
_atom_site_fract_x
_atom_site_fract_y
_atom_site_fract_z
Nb1 Nb 0.141 0.141 0.470
Nb2 Nb 0.146 0.139 0.179
Nb3 Nb 0.266 0.017 0.970
Nb4 Nb 0.266 0.018 0.679
Nb5 Nb 0.859 0.859 0.530
Nb6 Nb 0.861 0.854 0.821
Nb7 Nb 0.982 0.734 0.321
Nb8 Nb 0.983 0.734 0.030
P1 P 0.335 0.447 0.190
P2 P 0.553 0.665 0.810
P3 P 0.573 0.210 0.692
P4 P 0.790 0.427 0.308
S1 S 0.013 0.136 0.017
S2 S 0.016 0.131 0.571
S3 S 0.056 0.627 0.667
S4 S 0.070 0.247 0.833
S5 S 0.110 0.743 0.928
S6 S 0.113 0.738 0.483
S7 S 0.134 0.718 0.206
S8 S 0.144 0.273 0.627
S9 S 0.153 0.267 0.081
S10 S 0.218 0.196 0.354
S11 S 0.257 0.890 0.072
S12 S 0.262 0.887 0.517
S13 S 0.282 0.866 0.794
S14 S 0.308 0.391 0.301
S15 S 0.312 0.396 0.041
S16 S 0.322 0.093 0.853
S17 S 0.373 0.944 0.333
S18 S 0.392 0.027 0.581
S19 S 0.400 0.018 0.127
S20 S 0.419 0.471 0.715
S21 S 0.517 0.190 0.542
S22 S 0.522 0.179 0.804
S23 S 0.529 0.581 0.285
S24 S 0.559 0.435 0.843
S25 S 0.565 0.441 0.157
S26 S 0.599 0.292 0.221
S27 S 0.604 0.688 0.959
S28 S 0.609 0.692 0.699
S29 S 0.708 0.401 0.779
S30 S 0.727 0.856 0.373
S31 S 0.733 0.847 0.919
S32 S 0.753 0.930 0.167
S33 S 0.804 0.782 0.646
S34 S 0.810 0.483 0.458
S35 S 0.821 0.478 0.196
S36 S 0.844 0.008 0.707
S37 S 0.864 0.987 0.983
S38 S 0.869 0.984 0.429
S39 S 0.907 0.678 0.147
S40 S 0.973 0.608 0.419
S41 S 0.982 0.600 0.873
S42 S 0.992 0.156 0.293
```

# TlI3
Computed powder diffractogram, Cu Kα (weighted mean of Kα1 and Kα2). Input: a crystal structure in the Materials Project, relaxed with PBE.
Lines closer than 0.1° are merged.

The 8 most intense peaks (2θ from 15° to 90°), low angle first:
2theta  d/Å  Rel. int.
23.91  3.722  26
26.76  3.332  68
28.05  3.181  100
31.39  2.850  14
33.81  2.651  12
33.93  2.642  18
43.63  2.075  16
48.05  1.893  23

Crystal structure
```
data_TlI3
_chemical_formula_sum 'Tl4 I12'
_space_group_name_H-M_alt 'P 1'
_space_group_IT_number 1
_space_group_name_Hall 'P 1'
_cell_length_a 10.605
_cell_length_b 6.665
_cell_length_c 9.906
_cell_angle_alpha 90.00
_cell_angle_beta 90.00
_cell_angle_gamma 90.00
loop_
_atom_site_label
_atom_site_type_symbol
_atom_site_fract_x
_atom_site_fract_y
_atom_site_fract_z
Tl1 Tl 0.170 0.250 0.023
Tl2 Tl 0.330 0.750 0.523
Tl3 Tl 0.670 0.250 0.477
Tl4 Tl 0.830 0.750 0.977
I1 I 0.081 0.750 0.268
I2 I 0.129 0.250 0.547
I3 I 0.152 0.750 0.851
I4 I 0.348 0.250 0.351
I5 I 0.371 0.750 0.047
I6 I 0.419 0.250 0.768
I7 I 0.581 0.750 0.232
I8 I 0.629 0.250 0.953
I9 I 0.652 0.750 0.649
I10 I 0.848 0.250 0.149
I11 I 0.871 0.750 0.453
I12 I 0.919 0.250 0.732
```

# Zn2SiH2O5
Computed powder diffractogram, Cu Kα (weighted mean of Kα1 and Kα2). Input: a crystal structure in the Materials Project, relaxed with PBE.
Lines closer than 0.1° are merged.

The 8 most intense peaks (2θ from 15° to 90°), low angle first:
2theta  d/Å  Rel. int.
16.30  5.437  46
19.01  4.668  34
20.81  4.269  32
26.72  3.337  63
28.33  3.151  100
30.11  2.968  42
34.71  2.584  50
36.89  2.437  54

Crystal structure
```
data_Zn2SiH2O5
_chemical_formula_sum 'Zn4 Si2 H4 O10'
_space_group_name_H-M_alt 'P 1'
_space_group_IT_number 1
_space_group_name_Hall 'P 1'
_cell_length_a 7.380
_cell_length_b 7.380
_cell_length_c 5.169
_cell_angle_alpha 110.50
_cell_angle_beta 110.50
_cell_angle_gamma 70.69
loop_
_atom_site_label
_atom_site_type_symbol
_atom_site_fract_x
_atom_site_fract_y
_atom_site_fract_z
Zn1 Zn 0.203 0.797 0.000
Zn2 Zn 0.471 0.878 0.675
Zn3 Zn 0.797 0.203 0.000
Zn4 Zn 0.878 0.471 0.675
Si1 Si 0.691 0.691 0.185
Si2 Si 0.983 0.983 0.478
H1 H 0.211 0.463 0.655
H2 H 0.246 0.424 0.200
H3 H 0.424 0.246 0.200
H4 H 0.463 0.211 0.655
O1 O 0.003 0.003 0.811
O2 O 0.139 0.535 0.804
O3 O 0.201 0.882 0.408
O4 O 0.318 0.318 0.298
O5 O 0.473 0.791 0.997
O6 O 0.535 0.139 0.804
O7 O 0.670 0.670 0.478
O8 O 0.791 0.473 0.997
O9 O 0.837 0.837 0.250
O10 O 0.882 0.201 0.408
```

# Pd3N
Computed powder diffractogram, Cu Kα (weighted mean of Kα1 and Kα2). Input: a crystal structure in the Materials Project, relaxed with PBE.
Lines closer than 0.1° are merged.

The 8 most intense peaks (2θ from 15° to 90°), low angle first:
2theta  d/Å  Rel. int.
22.74  3.910  15
32.38  2.765  24
36.33  2.473  100
39.94  2.257  28
43.29  2.090  65
52.32  1.749  13
70.18  1.341  37
74.85  1.269  32

Crystal structure
```
data_Pd3N
_chemical_formula_sum 'Pd12 N4'
_space_group_name_H-M_alt 'P 1'
_space_group_IT_number 1
_space_group_name_Hall 'P 1'
_cell_length_a 6.772
_cell_length_b 6.772
_cell_length_c 6.772
_cell_angle_alpha 109.47
_cell_angle_beta 109.47
_cell_angle_gamma 109.47
loop_
_atom_site_label
_atom_site_type_symbol
_atom_site_fract_x
_atom_site_fract_y
_atom_site_fract_z
Pd1 Pd 0.124 0.313 0.811
Pd2 Pd 0.189 0.502 0.313
Pd3 Pd 0.189 0.876 0.687
Pd4 Pd 0.313 0.189 0.502
Pd5 Pd 0.313 0.811 0.124
Pd6 Pd 0.498 0.687 0.811
Pd7 Pd 0.502 0.313 0.189
Pd8 Pd 0.687 0.189 0.876
Pd9 Pd 0.687 0.811 0.498
Pd10 Pd 0.811 0.124 0.313
Pd11 Pd 0.811 0.498 0.687
Pd12 Pd 0.876 0.687 0.189
N1 N 0.000 0.000 0.500
N2 N 0.000 0.500 0.000
N3 N 0.500 0.000 0.000
N4 N 0.500 0.500 0.500
```